# BeCrSnF6
Simulated powder X-ray diffraction pattern, Cu Kα. Input: DFT lattice parameters and positions (GGA+U).
Kinematic intensities with the Lorentz-polarization factor, no thermal factor.

Structural model:
a = 5.116 Å, b = 5.199 Å, c = 5.521 Å
α = 83.18°, β = 68.24°, γ = 85.34°
Space group P1 (No. 1)
Symmetry-distinct sites (fractional):
Be 0.000 0.000 0.000
Cr 0.411 0.125 0.348
Sn 0.760 0.576 0.671
F 0.112 0.876 0.737
F 0.156 0.448 0.410
F 0.232 0.007 0.114
F 0.611 0.237 0.567
F 0.738 0.849 0.212
F 0.864 0.283 0.962

Top 6 peaks for 15° ≤ 2θ ≤ 90°, in order of rising 2θ:
2θ/deg, I (rel.)
17.4, 63
23.3, 56
25.1, 100
25.7, 100
26.0, 89
30.0, 74